# Cu3H5Pd3
Computed X-ray powder pattern, Cu Kα (weighted mean of Kα1 and Kα2). Input: a DFT-relaxed cell (GGA-PBE, Alexandria).
Intensities are scaled so that the largest is 100.

Principal peaks in the range 2θ = 10–90°, in order of rising 2θ:
- 10.3 deg, I = 21
- 37.8 deg, I = 100
- 38.4 deg, I = 96
- 44.1 deg, I = 63
- 44.7 deg, I = 29
- 63.4 deg, I = 11
- 64.6 deg, I = 38
- 64.9 deg, I = 10
- 76.6 deg, I = 23
- 77.6 deg, I = 22
- 77.8 deg, I = 10
- 78.1 deg, I = 10

Cell and atoms:
```
Cu3H5Pd3
1.0
2.9343 0.0000 0.0000
0.0000 8.6260 0.0000
0.0000 0.0000 4.0551
Cu H Pd
3 5 3
Direct
0.0000 0.0000 0.0000 Cu
0.5000 0.1676 0.5363 Cu
0.5000 0.8324 0.5363 Cu
0.0000 0.1530 0.2896 H
0.0000 0.8470 0.2896 H
0.5000 0.0000 0.7633 H
0.5000 0.3384 0.7946 H
0.5000 0.6616 0.7946 H
0.0000 0.3272 0.0571 Pd
0.0000 0.6728 0.0571 Pd
0.5000 0.5000 0.5312 Pd
```